Record 1
Structure and calculated powder diffraction line list of Na2TiSi4O11 (a PBE-relaxed structure; CuKα).
No peak broadening, texture or thermal motion is included.

Most intense lines, 2θ = 10–90°, low angle first:
| Position (°2θ) | Rel. int. | (hkl) |
| --- | --- | --- |
| 16.25 | 100 | 2 0 0 |
| 22.53 | 81 | 0 0 2 |
| 23.07 | 40 | 2 2 0 |
| 25.83 | 77 | 1 3 0 |
| 27.00 | 94 | 3 0 1 |
| 27.91 | 40 | 2 0 2 |
| 34.54 | 67 | 3 1 2 |
| 34.90 | 56 | 3 3 0 |

Structure:
a = 10.9059 Å, b = 10.9059 Å, c = 7.8929 Å
α = 90.00°, β = 90.00°, γ = 90.00°
Space group I4/m (No. 87)
One atom of each set of equivalent atoms:
Na 0.1316 0.1815 0.0000 x8
Ti 0.0000 0.0000 0.2564 x4
Si 0.0099 0.6910 0.3076 x16
O 0.0000 0.0000 0.0000 x2
O 0.0000 0.0000 0.5000 x2
O 0.0449 0.3044 0.5000 x8
O 0.0458 0.8221 0.2308 x16
O 0.0995 0.3694 0.1896 x16

=====

Record 2
Structure and calculated powder diffraction line list of NaYbSiO4 (a PBE-relaxed structure; CuKα).
No peak broadening, texture or thermal motion is included.

Most intense lines, 2θ = 10–90°, low angle first:
| Position (°2θ) | Rel. int. | (hkl) |
| --- | --- | --- |
| 15.75 | 42 | 2 0 0 |
| 23.34 | 100 | 1 1 1 |
| 27.53 | 24 | 0 2 0 |
| 29.37 | 20 | 3 0 1 |
| 31.85 | 26 | 2 2 0 |
| 32.53 | 52 | 3 1 1 |
| 46.23 | 19 | 1 3 1 |
| 47.70 | 33 | 2 2 2 |

Structure:
a = 11.2560 Å, b = 6.4801 Å, c = 5.1911 Å
α = 90.00°, β = 90.00°, γ = 90.00°
Space group Pnma (No. 62)
One atom of each set of equivalent atoms:
Na 0.0000 0.0000 0.0000 x4
Yb 0.2209 0.2500 0.4991 x4
Si 0.0995 0.7500 0.4406 x4
O 0.0377 0.2500 0.6673 x4
O 0.1105 0.7500 0.7530 x4
O 0.1704 0.5525 0.3011 x8

=====

Record 3
Structure and calculated powder diffraction line list of Na2ZnSi3O8 (a PBE-relaxed structure; CuKα).
No peak broadening, texture or thermal motion is included.

Most intense lines, 2θ = 10–90°, low angle first:
| Position (°2θ) | Rel. int. | (hkl) |
| --- | --- | --- |
| 14.07 | 44 | 1 0 0 |
| 19.87 | 36 | 1 1 -1 |
| 21.69 | 95 | 1 0 1 |
| 26.64 | 100 | 1 2 -1 |
| 28.97 | 33 | 0 1 2 |
| 29.89 | 54 | 1 2 1 |
| 30.20 | 44 | 2 1 0 |
| 35.14 | 39 | 2 2 0 |

Structure:
a = 6.4721 Å, b = 8.7446 Å, c = 6.7742 Å
α = 90.00°, β = 103.52°, γ = 90.00°
Space group P2_1 (No. 4)
One atom of each set of equivalent atoms:
Na 0.0930 0.0000 0.4711 x2
Na 0.3318 0.5579 0.2212 x2
Zn 0.4629 0.3696 0.6109 x2
Si 0.0938 0.8645 0.9892 x2
Si 0.2509 0.1818 0.9000 x2
Si 0.3546 0.6998 0.7327 x2
O 0.0795 0.0393 0.8920 x2
O 0.1371 0.7456 0.8139 x2
O 0.1538 0.3330 0.9940 x2
O 0.2506 0.8475 0.2081 x2
O 0.2837 0.2038 0.6735 x2
O 0.2910 0.5577 0.5757 x2
O 0.4398 0.8524 0.6436 x2
O 0.4765 0.1369 0.0571 x2

=====

Record 4
Structure and calculated powder diffraction line list of Na2ZnSi2O6 (a PBE-relaxed structure; CuKα).
No peak broadening, texture or thermal motion is included.

Most intense lines, 2θ = 10–90°, low angle first:
| Position (°2θ) | Rel. int. | (hkl) |
| --- | --- | --- |
| 17.71 | 96 | 0 0 2 |
| 18.79 | 100 | 1 1 -1 |
| 24.06 | 59 | 1 1 -2 |
| 25.14 | 66 | 1 1 2 |
| 25.61 | 44 | 0 2 2 |
| 31.15 | 45 | 1 1 -3 |
| 31.25 | 97 | 1 3 0 |
| 32.40 | 66 | 1 1 3 |

Structure:
a = 6.2296 Å, b = 9.6702 Å, c = 10.0288 Å
α = 90.00°, β = 92.94°, γ = 90.00°
Space group C2/c (No. 15)
One atom of each set of equivalent atoms:
Na 0.0640 0.1751 0.1043 x8
Zn 0.0000 0.2295 0.7500 x4
Si 0.1512 0.4866 0.1386 x8
O 0.0000 0.4104 0.2500 x4
O 0.0000 0.5000 0.0000 x4
O 0.1541 0.1201 0.8906 x8
O 0.2282 0.3617 0.6914 x8

=====

Record 5
Structure and calculated powder diffraction line list of Na2ZnSi2O6 (a PBE-relaxed structure; CuKα).
No peak broadening, texture or thermal motion is included.

Most intense lines, 2θ = 10–90°, low angle first:
| Position (°2θ) | Rel. int. | (hkl) |
| --- | --- | --- |
| 17.48 | 29 | 1 1 1 |
| 21.01 | 91 | 1 3 1 |
| 26.75 | 15 | 1 5 1 |
| 34.37 | 100 | 0 6 2 |
| 35.18 | 20 | 2 6 0 |
| 50.60 | 14 | 0 12 0 |
| 61.04 | 24 | 2 6 4 |
| 62.60 | 24 | 2 12 2 |

Structure:
a = 7.2163 Å, b = 21.6463 Å, c = 7.5577 Å
α = 90.00°, β = 90.00°, γ = 90.00°
Space group Fdd2 (No. 43)
One atom of each set of equivalent atoms:
Na 0.0162 0.1722 0.0000 x16
Zn 0.0000 0.0000 0.0214 x8
Si 0.0370 0.1668 0.5462 x16
O 0.0322 0.2679 0.1246 x16
O 0.0473 0.4218 0.6517 x16
O 0.1020 0.1212 0.7157 x16